Starting from a DFT-relaxed cell (GGA-PBE, Alexandria), the PXRD pattern of Ac3HoPu3Se8 was calculated for Cu Kα (λ = 1.5418 Å).

abc: 8.4915 8.4915 21.4775
angles: 90.00 90.00 120.00
Space group R-3m (No. 166, hexagonal axes)
Unique sites:
Ac  0.0000  0.5000  0.0000 [9 per cell]
Ho  0.0000  0.0000  0.5000 [3 per cell]
Pu  0.0000  0.5000  0.5000 [9 per cell]
Se  0.0000  0.0000  0.2424 [6 per cell]
Se  0.0042  0.5021  0.2425 [18 per cell]

Top 10 peaks for 10 to 90 degrees two-theta, sorted by position:
hkl	d (Å)	Rel. int.
0 1 2	6.068	9
2 0 2	3.479	23
0 2 4	3.034	100
2 0 8	2.168	38
2 2 0	2.123	37
4 0 4	1.739	20
0 4 8	1.517	13
2 2 12	1.368	17
2 4 4	1.345	17
4 2 8	1.234	13

***

Starting from a DFT-relaxed cell (GGA-PBE, Alexandria), the PXRD pattern of KCu2C was calculated for Cu Kα (λ = 1.5418 Å).

abc: 6.0846 6.0846 8.6483
angles: 90.00 90.00 90.00
Space group I4_1/amd (No. 141, origin choice 2)
Unique sites:
K  0.0000  0.2500  0.3750 [4 per cell]
Cu  0.0000  0.0000  0.0000 [8 per cell]
C  0.0000  0.2500  0.8750 [4 per cell]

Top 10 peaks for 10 to 90 degrees two-theta, sorted by position:
hkl	d (Å)	Rel. int.
1 0 1	4.976	71
2 0 0	3.047	38
1 0 3	2.605	49
2 1 1	2.596	96
2 0 2	2.488	100
3 2 1	1.657	34
2 2 4	1.525	36
4 0 0	1.521	18
4 2 2	1.298	22
5 2 1	1.121	14

***

Starting from a DFT-relaxed cell (GGA-PBE, Alexandria), the PXRD pattern of MnGaPSe was calculated for Cu Kα (λ = 1.5418 Å).

abc: 3.9472 5.8696 3.9735
angles: 90.00 90.08 90.00
Space group P2 (No. 3)
Unique sites:
Mn  0.0000  0.0000  0.0000 [1 per cell]
Ga  0.5000  0.5450  0.5000 [1 per cell]
P  0.0000  0.7662  0.5000 [1 per cell]
Se  0.5000  0.2760  0.0000 [1 per cell]

Top 10 peaks for 10 to 90 degrees two-theta, sorted by position:
hkl	d (Å)	Rel. int.
0 1 1	3.290	100
1 1 0	3.275	96
1 1 1	2.527	16
1 2 1	2.026	93
0 0 2	1.987	23
2 0 0	1.974	22
1 3 0	1.754	27
1 1 2	1.699	27
2 1 1	1.693	27
1 2 3	1.154	14